Theoretical X-ray diffraction stick pattern of Gd2Fe6Si4Au for λ = 1.5418 Å (Cu Kα), from a GGA-PBE-relaxed structure.

Most intense lines, 10° ≤ 2θ ≤ 80°, low angle first:
2θ = 14.90°, I 34, (0 0 9); 2θ = 29.64°, I 100, (1 0 7); 2θ = 30.35°, I 40, (0 1 8); 2θ = 38.45°, I 98, (1 0 16); 2θ = 47.94°, I 47, (0 1 23); 2θ = 48.05°, I 81, (1 1 0)

Crystal structure
```
data_Gd2Fe6Si4Au
_symmetry_space_group_name_H-M 'R -3 m'
_symmetry_Int_Tables_number 166
_symmetry_space_group_name_Hall '-R 3 2"'
_cell_length_a 3.7870
_cell_length_b 3.7870
_cell_length_c 53.5057
_cell_angle_alpha 90.00
_cell_angle_beta 90.00
_cell_angle_gamma 120.00
loop_
_atom_site_label
_atom_site_type_symbol
_atom_site_fract_x
_atom_site_fract_y
_atom_site_fract_z
Gd1 Gd 0.0000 0.0000 0.0629
Fe1 Fe 0.0000 0.0000 0.1920
Fe2 Fe 0.0000 0.0000 0.3173
Fe3 Fe 0.0000 0.0000 0.4489
Si1 Si 0.0000 0.0000 0.2348
Si2 Si 0.0000 0.0000 0.3598
Au1 Au 0.0000 0.0000 0.5000
```

Theoretical X-ray diffraction stick pattern of Ni2S3 for λ = 1.5418 Å (Cu Kα), from a GGA-PBE-relaxed structure.

Most intense lines, 10° ≤ 2θ ≤ 80°, low angle first:
2θ = 17.50°, I 50, (0 0 2); 2θ = 19.51°, I 25, (1 0 1); 2θ = 30.40°, I 38, (1 1 0); 2θ = 35.30°, I 85, (1 1 2); 2θ = 47.38°, I 100, (1 1 4); 2θ = 54.02°, I 54, (3 0 0)

Crystal structure
```
data_Ni2S3
_symmetry_space_group_name_H-M 'P -3 1 c'
_symmetry_Int_Tables_number 163
_symmetry_space_group_name_Hall '-P 3 2c'
_cell_length_a 5.8803
_cell_length_b 5.8803
_cell_length_c 10.1295
_cell_angle_alpha 90.00
_cell_angle_beta 90.00
_cell_angle_gamma 120.00
loop_
_atom_site_label
_atom_site_type_symbol
_atom_site_fract_x
_atom_site_fract_y
_atom_site_fract_z
Ni1 Ni 0.0000 0.0000 0.0000
Ni2 Ni 0.3333 0.6667 0.0119
Ni3 Ni 0.3333 0.6667 0.7500
S1 S 0.0113 0.3390 0.8828
```

Theoretical X-ray diffraction stick pattern of La2GdMg3Tl3 for λ = 1.5418 Å (Cu Kα), from a GGA-PBE-relaxed structure.

Most intense lines, 10° ≤ 2θ ≤ 80°, low angle first:
2θ = 22.79°, I 55, (0 0 2); 2θ = 23.06°, I 45, (0 3 1); 2θ = 29.76°, I 53, (1 3 1); 2θ = 32.51°, I 100, (1 2 2); 2θ = 32.79°, I 60, (1 4 0); 2θ = 37.61°, I 41, (2 0 0)

Crystal structure
```
data_La2GdMg3Tl3
_symmetry_space_group_name_H-M 'A m m 2'
_symmetry_Int_Tables_number 38
_cell_length_a 4.783
_cell_length_b 13.307
_cell_length_c 7.812
_cell_angle_alpha 90.00
_cell_angle_beta 90.00
_cell_angle_gamma 90.00
loop_
_symmetry_equiv_pos_as_xyz
'x,y,z'
'-x,-y,z'
'-x,y,z'
'x,-y,z'
'x,y+1/2,z+1/2'
'-x,-y+1/2,z+1/2'
'-x,y+1/2,z+1/2'
'x,-y+1/2,z+1/2'
loop_
_atom_site_label
_atom_site_type_symbol
_atom_site_fract_x
_atom_site_fract_y
_atom_site_fract_z
La1 La 0.000 0.214 0.000
Gd1 Gd 0.000 0.000 0.361
Mg1 Mg 0.500 0.000 0.026
Mg2 Mg 0.500 0.121 0.663
Tl1 Tl 0.000 0.000 0.777
Tl2 Tl 0.500 0.162 0.286
```

Theoretical X-ray diffraction stick pattern of Li2Hg2Te3 for λ = 1.5418 Å (Cu Kα), from a GGA-PBE-relaxed structure.

Most intense lines, 10° ≤ 2θ ≤ 80°, low angle first:
2θ = 14.06°, I 44, (1 1 0); 2θ = 19.93°, I 23, (2 0 0); 2θ = 31.76°, I 100, (3 0 1); 2θ = 37.79°, I 84, (3 1 2); 2θ = 52.37°, I 22, (4 3 1); 2θ = 64.48°, I 28, (5 3 2)

Crystal structure
```
data_Li2Hg2Te3
_symmetry_space_group_name_H-M 'I 21 3'
_symmetry_Int_Tables_number 199
_symmetry_space_group_name_Hall 'I 2b 2c 3'
_cell_length_a 8.908
_cell_length_b 8.908
_cell_length_c 8.908
_cell_angle_alpha 90.00
_cell_angle_beta 90.00
_cell_angle_gamma 90.00
loop_
_atom_site_label
_atom_site_type_symbol
_atom_site_fract_x
_atom_site_fract_y
_atom_site_fract_z
Li1 Li 0.074 0.074 0.074
Hg1 Hg 0.166 0.334 0.666
Te1 Te 0.000 0.250 0.356
```

Theoretical X-ray diffraction stick pattern of Gd3AlCoS7 for λ = 1.5418 Å (Cu Kα), from a GGA-PBE-relaxed structure.

Most intense lines, 10° ≤ 2θ ≤ 80°, low angle first:
2θ = 17.90°, I 45, (1 0 1); 2θ = 25.92°, I 100, (2 0 1); 2θ = 35.66°, I 36, (3 0 1); 2θ = 36.26°, I 36, (2 0 2); 2θ = 37.69°, I 39, (2 2 0); 2θ = 41.04°, I 28, (1 2 2)

Crystal structure
```
data_Gd3AlCoS7
_symmetry_space_group_name_H-M 'P 63'
_symmetry_Int_Tables_number 173
_cell_length_a 9.5464
_cell_length_b 9.5464
_cell_length_c 6.1905
_cell_angle_alpha 90.00
_cell_angle_beta 90.00
_cell_angle_gamma 120.00
loop_
_symmetry_equiv_pos_as_xyz
'x,y,z'
'x-y,x,z+1/2'
'-y,x-y,z'
'-x,-y,z+1/2'
'-x+y,-x,z'
'y,-x+y,z+1/2'
loop_
_atom_site_label
_atom_site_type_symbol
_atom_site_fract_x
_atom_site_fract_y
_atom_site_fract_z
Gd1 Gd 0.1624 0.3756 0.0000
Al1 Al 0.3333 0.6667 0.4231
Co1 Co 0.0000 0.0000 0.3430
S1 S 0.0862 0.5616 0.2757
S2 S 0.0985 0.2224 0.5965
S3 S 0.3333 0.6667 0.7841
```

Theoretical X-ray diffraction stick pattern of DyTmNO for λ = 1.5418 Å (Cu Kα), from a GGA-PBE-relaxed structure.

Most intense lines, 10° ≤ 2θ ≤ 80°, low angle first:
2θ = 26.14°, I 35, (2 1 0); 2θ = 32.08°, I 100, (2 1 1); 2θ = 32.94°, I 40, (0 2 1); 2θ = 37.03°, I 31, (0 0 2); 2θ = 47.38°, I 30, (2 3 0); 2θ = 61.61°, I 27, (2 3 2)

Crystal structure
```
data_DyTmNO
_symmetry_space_group_name_H-M 'P b c m'
_symmetry_Int_Tables_number 57
_cell_length_a 7.980
_cell_length_b 6.565
_cell_length_c 4.856
_cell_angle_alpha 90.00
_cell_angle_beta 90.00
_cell_angle_gamma 90.00
loop_
_symmetry_equiv_pos_as_xyz
'x,y,z'
'-x,-y,-z'
'-x,-y,z+1/2'
'x,y,-z+1/2'
'x,-y+1/2,-z'
'-x,y+1/2,z'
'-x,y+1/2,-z+1/2'
'x,-y+1/2,z+1/2'
loop_
_atom_site_label
_atom_site_type_symbol
_atom_site_fract_x
_atom_site_fract_y
_atom_site_fract_z
Dy1 Dy 0.123 0.069 0.250
Tm1 Tm 0.375 0.585 0.250
N1 N 0.378 0.573 0.750
O1 O 0.138 0.092 0.750
```

Theoretical X-ray diffraction stick pattern of AgSO6 for λ = 1.5418 Å (Cu Kα), from a GGA-PBE-relaxed structure.

Most intense lines, 10° ≤ 2θ ≤ 80°, low angle first:
2θ = 21.53°, I 100, (1 1 1); 2θ = 35.51°, I 36, (2 2 0); 2θ = 41.90°, I 44, (3 1 1); 2θ = 43.86°, I 27, (2 2 2); 2θ = 51.10°, I 23, (4 0 0); 2θ = 56.06°, I 17, (3 3 1)

Crystal structure
```
data_AgSO6
_symmetry_space_group_name_H-M 'F -4 3 m'
_symmetry_Int_Tables_number 216
_symmetry_space_group_name_Hall 'F -4 2 3'
_cell_length_a 7.150
_cell_length_b 7.150
_cell_length_c 7.150
_cell_angle_alpha 90.00
_cell_angle_beta 90.00
_cell_angle_gamma 90.00
loop_
_atom_site_label
_atom_site_type_symbol
_atom_site_fract_x
_atom_site_fract_y
_atom_site_fract_z
Ag1 Ag 0.000 0.000 0.000
S1 S 0.250 0.250 0.750
O1 O 0.026 0.250 0.750
```

Theoretical X-ray diffraction stick pattern of K3NaNb2O6 for λ = 1.5418 Å (Cu Kα), from a GGA-PBE-relaxed structure.

Most intense lines, 10° ≤ 2θ ≤ 80°, low angle first:
2θ = 14.79°, I 35, (0 0 1); 2θ = 29.84°, I 26, (0 0 2); 2θ = 33.36°, I 48, (2 0 0); 2θ = 37.72°, I 100, (2 0 -2); 2θ = 52.06°, I 20, (1 3 -3); 2θ = 56.64°, I 27, (3 3 -1)

Crystal structure
```
data_K3NaNb2O6
_symmetry_space_group_name_H-M 'C 1 2/m 1'
_symmetry_Int_Tables_number 12
_cell_length_a 5.628
_cell_length_b 9.753
_cell_length_c 6.281
_cell_angle_alpha 90.00
_cell_angle_beta 107.53
_cell_angle_gamma 90.00
loop_
_symmetry_equiv_pos_as_xyz
'x,y,z'
'-x,-y,-z'
'-x,y,-z'
'x,-y,z'
'x+1/2,y+1/2,z'
'-x+1/2,-y+1/2,-z'
'-x+1/2,y+1/2,-z'
'x+1/2,-y+1/2,z'
loop_
_atom_site_label
_atom_site_type_symbol
_atom_site_fract_x
_atom_site_fract_y
_atom_site_fract_z
K1 K 0.000 0.000 0.000
K2 K 0.000 0.342 0.000
Na1 Na 0.000 0.500 0.500
Nb1 Nb 0.000 0.168 0.500
O1 O 0.196 0.000 0.683
O2 O 0.247 0.316 0.687
```